No. 1
Diffraction record for Pr2AlCu3. The powder diffractogram is simulated, not measured: it uses a DFT-relaxed cell (PBE, Alexandria) and copper Kα.
Lines closer than 0.1° are merged.

Principal peaks in the range 2θ = 10–90°, sorted by position:
2θ (°)  d [Å]  I_rel
27.44  3.250  20
28.27  3.156  15
33.15  2.702  100
36.04  2.492  28
36.70  2.449  24
43.32  2.089  19
45.55  1.992  16
46.88  1.938  19
59.41  1.556  13
65.73  1.421  13

Cell and atoms:
a b c (Å): 3.983 4.177 15.525
angles (deg): 90.00 90.00 90.00
Space group Imm2 (No. 44)
Unique sites:
Pr (0.000, 0.000, 0.000)
Pr (0.000, 0.500, 0.261)
Al (0.000, 0.000, 0.594)
Cu (0.000, 0.000, 0.429)
Cu (0.000, 0.500, 0.675)
Cu (0.000, 0.500, 0.836)

=====

No. 2
Diffraction record for Pr2Al7Cu. The powder diffractogram is simulated, not measured: it uses a DFT-relaxed cell (PBE, Alexandria) and copper Kα.
Lines closer than 0.1° are merged.

Principal peaks in the range 2θ = 10–90°, sorted by position:
2θ (°)  d [Å]  I_rel
16.13  5.495  34
22.30  3.987  50
29.53  3.025  45
32.17  2.783  92
33.82  2.650  100
42.25  2.139  47
46.45  1.955  41
54.08  1.696  42
64.58  1.443  30
71.87  1.314  22

Cell and atoms:
a b c (Å): 4.278 4.278 10.990
angles (deg): 90.00 90.00 90.00
Space group P4mm (No. 99)
Unique sites:
Pr (0.000, 0.000, 0.000)
Pr (0.500, 0.500, 0.497)
Al (0.000, 0.000, 0.383)
Al (0.000, 0.000, 0.614)
Al (0.000, 0.500, 0.237)
Al (0.000, 0.500, 0.756)
Al (0.500, 0.500, 0.904)
Cu (0.500, 0.500, 0.122)

=====

No. 3
Diffraction record for Pr3Al28Cu8. The powder diffractogram is simulated, not measured: it uses a DFT-relaxed cell (PBE, Alexandria) and copper Kα.
Lines closer than 0.1° are merged.

Principal peaks in the range 2θ = 10–90°, sorted by position:
2θ (°)  d [Å]  I_rel
14.22  6.229  66
19.94  4.452  42
26.38  3.378  38
27.38  3.257  35
28.66  3.114  40
33.97  2.639  42
38.39  2.345  38
39.35  2.290  100
40.06  2.251  73
40.53  2.226  90

Cell and atoms:
a b c (Å): 5.132 13.513 18.821
angles (deg): 90.00 96.82 90.00
Space group C2/m (No. 12)
Unique sites:
Pr (0.000, 0.000, 0.000)
Pr (0.179, 0.500, 0.334)
Al (0.000, 0.000, 0.500)
Al (0.000, 0.500, 0.500)
Al (0.028, 0.386, 0.073)
Al (0.049, 0.180, 0.115)
Al (0.128, 0.320, 0.218)
Al (0.148, 0.114, 0.259)
Al (0.162, 0.000, 0.834)
Al (0.207, 0.118, 0.405)
Al (0.228, 0.319, 0.448)
Cu (0.072, 0.252, 0.668)
Cu (0.160, 0.500, 0.833)
Cu (0.250, 0.250, 0.000)